Starting from the GGA-PBE geometry in OQMD, the X-ray diffraction stick pattern of Y2Lu4Bi3N3 was calculated for copper Kα.
Neutral-atom scattering factors, no anomalous dispersion.

Most intense lines, 2θ = 10–80°, in order of rising 2θ:
2θ 29.17, d = 3.061 Å, intensity 23, (0 2 0); 2θ 34.33, d = 2.612 Å, intensity 100, (3 1 -4); 2θ 35.86, d = 2.504 Å, intensity 19, (0 0 6); 2θ 46.87, d = 1.938 Å, intensity 15, (0 2 6); 2θ 51.72, d = 1.768 Å, intensity 22, (6 0 -2); 2θ 63.44, d = 1.466 Å, intensity 12, (3 1 -10); 2θ 63.54, d = 1.464 Å, intensity 23, (0 4 3); 2θ 64.52, d = 1.444 Å, intensity 17, (6 0 -8); 2θ 64.58, d = 1.443 Å, intensity 3, (6 0 4); 2θ 72.35, d = 1.306 Å, intensity 4, (6 2 -8)

```
data_Y2Lu4Bi3N3
_symmetry_space_group_name_H-M 'C 1 2/c 1'
_symmetry_Int_Tables_number 15
_symmetry_space_group_name_Hall '-C 2yc'
_cell_length_a 10.6047
_cell_length_b 6.1231
_cell_length_c 15.4415
_cell_angle_alpha 90.00
_cell_angle_beta 103.32
_cell_angle_gamma 90.00
loop_
_atom_site_label
_atom_site_type_symbol
_atom_site_fract_x
_atom_site_fract_y
_atom_site_fract_z
Y1 Y 0.0523 0.0819 0.4131
Lu1 Lu 0.1106 0.4132 0.5814
Lu2 Lu 0.2241 0.4185 0.9186
Bi1 Bi 0.0000 0.4283 0.2500
Bi2 Bi 0.1726 0.0869 0.7509
N1 N 0.0874 0.2615 0.0000
N2 N 0.2500 0.2500 0.5000
```